Theoretical powder XRD pattern of Ca3Ga2Fe2O10 for a wavelength of 1.5418 Å, from a PBE+U-relaxed structure.
Kinematic intensities with the Lorentz-polarization factor, no thermal factor.

```
Ca3Ga2Fe2O10
1.0
5.763 0.000 0.000
0.000 5.421 0.000
-5.357 0.000 14.029
Ca Ga Fe O
6 4 4 20
direct
0.000 0.225 0.000
0.000 0.775 0.500
0.136 0.263 0.227
0.136 0.737 0.727
0.447 0.270 0.520
0.447 0.730 0.020
0.416 0.193 0.861
0.416 0.807 0.361
0.738 0.315 0.363
0.738 0.685 0.863
0.061 0.256 0.618
0.061 0.744 0.118
0.571 0.237 0.121
0.571 0.763 0.621
0.008 0.229 0.472
0.008 0.771 0.972
0.143 0.281 0.755
0.143 0.719 0.255
0.308 0.005 0.630
0.308 0.995 0.130
0.321 0.478 0.128
0.321 0.522 0.628
0.372 0.268 0.977
0.372 0.732 0.477
0.449 0.158 0.368
0.449 0.842 0.868
0.701 0.347 0.866
0.701 0.653 0.366
0.775 0.223 0.252
0.775 0.777 0.752
0.797 0.000 0.093
0.797 0.000 0.593
0.818 0.489 0.093
0.818 0.511 0.593
```

Peak list (10 most intense, 2θ from 10° to 90°, low angle first)
hkl	d (Å)	2θ/deg	intensity
1 0 -2	5.275	16.8	42
1 1 -1	3.948	22.5	95
1 0 -4	3.580	24.9	42
0 0 4	3.507	25.4	52
2 0 -2	2.880	31.0	67
0 2 0	2.710	33.1	97
1 1 3	2.648	33.8	100
1 1 -5	2.596	34.5	96
2 2 -2	1.974	46.0	78
0 0 8	1.754	52.2	39